(1)
Diffraction record for TbAgC2O6. The powder diffractogram is theoretical, not measured: it uses the GGA-PBE geometry in Alexandria and Cu Kα, 1.54184 Å.
Neutral-atom scattering factors, no anomalous dispersion.

Atomic structure:
a = 6.445 Å, b = 6.445 Å, c = 7.295 Å
α = 111.34°, β = 111.34°, γ = 85.66°
Fractional positions:
Tb (0.086, 0.914, 0.750)
Tb (0.914, 0.086, 0.250)
Ag (0.425, 0.575, 0.250)
Ag (0.575, 0.425, 0.750)
C (0.106, 0.378, 0.778)
C (0.378, 0.106, 0.278)
C (0.622, 0.894, 0.722)
C (0.894, 0.622, 0.222)
O (0.018, 0.790, 0.384)
O (0.120, 0.569, 0.769)
O (0.210, 0.982, 0.116)
O (0.215, 0.328, 0.945)
O (0.328, 0.215, 0.445)
O (0.431, 0.880, 0.731)
O (0.569, 0.120, 0.269)
O (0.672, 0.785, 0.555)
O (0.785, 0.672, 0.055)
O (0.790, 0.018, 0.884)
O (0.880, 0.431, 0.231)
O (0.982, 0.210, 0.616)

Principal peaks in the range 15 to 90 degrees two-theta, in order of rising 2θ:
two_theta  I/Imax
20.27  24
21.66  50
24.71  44
25.62  35
27.96  100
28.18  52
32.89  23
37.58  28
42.53  26
43.72  21

(2)
Diffraction record for PuPa2Ge3. The powder diffractogram is theoretical, not measured: it uses the GGA-PBE geometry in Alexandria and Cu Kα, 1.54184 Å.
Neutral-atom scattering factors, no anomalous dispersion.

Atomic structure:
a = 4.169 Å, b = 5.861 Å, c = 12.416 Å
α = 90.00°, β = 90.00°, γ = 90.00°
Fractional positions:
Pu (0.000, 0.000, 0.000)
Pu (0.500, 0.500, 0.500)
Pa (0.000, 0.000, 0.333)
Pa (0.000, 0.000, 0.667)
Pa (0.500, 0.500, 0.167)
Pa (0.500, 0.500, 0.833)
Ge (0.000, 0.500, 0.000)
Ge (0.000, 0.500, 0.329)
Ge (0.000, 0.500, 0.671)
Ge (0.500, 0.000, 0.171)
Ge (0.500, 0.000, 0.500)
Ge (0.500, 0.000, 0.829)

Principal peaks in the range 15 to 90 degrees two-theta, in order of rising 2θ:
two_theta  I/Imax
26.23  24
26.36  24
30.46  100
43.41  13
43.63  51
51.72  16
53.98  14
54.27  13
72.06  17
80.29  13

(3)
Diffraction record for Sr3Pt2. The powder diffractogram is theoretical, not measured: it uses the GGA-PBE geometry in Alexandria and Cu Kα, 1.54184 Å.
Neutral-atom scattering factors, no anomalous dispersion.

Atomic structure:
a = 7.997 Å, b = 7.997 Å, c = 7.997 Å
α = 56.73°, β = 56.73°, γ = 56.73°
Fractional positions:
Sr (0.103, 0.750, 0.397)
Sr (0.250, 0.603, 0.897)
Sr (0.397, 0.103, 0.750)
Sr (0.603, 0.897, 0.250)
Sr (0.750, 0.397, 0.103)
Sr (0.897, 0.250, 0.603)
Pt (0.178, 0.178, 0.178)
Pt (0.322, 0.322, 0.322)
Pt (0.678, 0.678, 0.678)
Pt (0.822, 0.822, 0.822)

Principal peaks in the range 15 to 90 degrees two-theta, in order of rising 2θ:
two_theta  I/Imax
16.11  73
23.41  40
26.99  47
28.55  30
35.78  100
37.25  23
38.42  23
41.15  60
55.65  27
71.51  26

(4)
Diffraction record for Mg17Zn11Cd. The powder diffractogram is theoretical, not measured: it uses the GGA-PBE geometry in Alexandria and Cu Kα, 1.54184 Å.
Neutral-atom scattering factors, no anomalous dispersion.

Atomic structure:
a = 8.971 Å, b = 8.971 Å, c = 8.769 Å
α = 109.40°, β = 109.40°, γ = 108.10°
Fractional positions:
Mg (0.000, 0.000, 0.000)
Mg (0.000, 0.341, 0.994)
Mg (0.001, 0.001, 0.349)
Mg (0.006, 0.323, 0.606)
Mg (0.007, 0.609, 0.317)
Mg (0.289, 0.685, 0.682)
Mg (0.318, 0.614, 0.003)
Mg (0.323, 0.006, 0.606)
Mg (0.341, 0.000, 0.994)
Mg (0.402, 0.402, 0.715)
Mg (0.404, 0.727, 0.403)
Mg (0.609, 0.007, 0.317)
Mg (0.614, 0.318, 0.003)
Mg (0.667, 0.667, 0.662)
Mg (0.685, 0.289, 0.682)
Mg (0.693, 0.693, 0.288)
Mg (0.727, 0.404, 0.403)
Zn (0.007, 0.822, 0.635)
Zn (0.171, 0.362, 0.366)
Zn (0.181, 0.181, 0.806)
Zn (0.181, 0.825, 0.183)
Zn (0.362, 0.171, 0.366)
Zn (0.634, 0.815, 0.001)
Zn (0.634, 0.998, 0.811)
Zn (0.815, 0.634, 0.001)
Zn (0.822, 0.007, 0.635)
Zn (0.825, 0.181, 0.183)
Zn (0.998, 0.634, 0.811)
Cd (0.377, 0.377, 0.185)

Principal peaks in the range 15 to 90 degrees two-theta, in order of rising 2θ:
two_theta  I/Imax
20.86  100
21.01  53
21.24  73
36.32  68
36.88  98
37.31  81
37.52  67
40.05  56
41.01  100
41.77  51

(5)
Diffraction record for SmTcCl. The powder diffractogram is theoretical, not measured: it uses the GGA-PBE geometry in Alexandria and Cu Kα, 1.54184 Å.
Neutral-atom scattering factors, no anomalous dispersion.

Atomic structure:
a = 11.545 Å, b = 11.545 Å, c = 11.545 Å
α = 20.37°, β = 20.37°, γ = 20.37°
Fractional positions:
Sm (0.066, 0.066, 0.066)
Sm (0.934, 0.934, 0.934)
Tc (0.339, 0.339, 0.339)
Tc (0.661, 0.661, 0.661)
Cl (0.218, 0.218, 0.218)
Cl (0.782, 0.782, 0.782)

Principal peaks in the range 15 to 90 degrees two-theta, in order of rising 2θ:
two_theta  I/Imax
25.33  22
31.32  100
32.99  40
36.72  21
44.37  48
45.13  19
45.39  15
55.32  19
61.18  24
73.51  16

(6)
Diffraction record for PmGa2I5. The powder diffractogram is theoretical, not measured: it uses the GGA-PBE geometry in Alexandria and Cu Kα, 1.54184 Å.
Neutral-atom scattering factors, no anomalous dispersion.

Atomic structure:
a = 8.971 Å, b = 8.971 Å, c = 11.668 Å
α = 110.32°, β = 110.32°, γ = 54.65°
Fractional positions:
Pm (0.000, 0.000, 0.000)
Pm (0.000, 0.000, 0.500)
Ga (0.365, 0.413, 0.795)
Ga (0.413, 0.365, 0.295)
Ga (0.586, 0.635, 0.705)
Ga (0.635, 0.586, 0.205)
I (0.028, 0.347, 0.143)
I (0.156, 0.844, 0.250)
I (0.226, 0.593, 0.541)
I (0.347, 0.028, 0.643)
I (0.407, 0.774, 0.959)
I (0.593, 0.226, 0.041)
I (0.653, 0.972, 0.357)
I (0.774, 0.407, 0.459)
I (0.844, 0.156, 0.750)
I (0.972, 0.653, 0.857)

Principal peaks in the range 15 to 90 degrees two-theta, in order of rising 2θ:
two_theta  I/Imax
16.20  37
24.59  99
25.21  100
25.59  95
32.06  64
32.39  59
33.00  59
38.39  87
40.02  43
63.37  25

(7)
Diffraction record for HoB6. The powder diffractogram is theoretical, not measured: it uses the GGA-PBE geometry in Alexandria and Cu Kα, 1.54184 Å.
Neutral-atom scattering factors, no anomalous dispersion.

Atomic structure:
a = 4.091 Å, b = 4.091 Å, c = 4.091 Å
α = 90.00°, β = 90.00°, γ = 90.00°
Fractional positions:
Ho (0.000, 0.000, 0.000)
B (0.199, 0.500, 0.500)
B (0.500, 0.199, 0.500)
B (0.500, 0.500, 0.199)
B (0.500, 0.500, 0.801)
B (0.500, 0.801, 0.500)
B (0.801, 0.500, 0.500)

Principal peaks in the range 15 to 90 degrees two-theta, in order of rising 2θ:
two_theta  I/Imax
21.72  71
30.91  100
38.10  42
44.28  21
49.84  50
54.98  29
68.85  28
73.16  20
77.36  13
89.67  19

(8)
Diffraction record for CrPdN. The powder diffractogram is theoretical, not measured: it uses the GGA-PBE geometry in Alexandria and Cu Kα, 1.54184 Å.
Neutral-atom scattering factors, no anomalous dispersion.

Atomic structure:
a = 2.830 Å, b = 2.830 Å, c = 17.878 Å
α = 90.00°, β = 90.00°, γ = 90.00°
Fractional positions:
Cr (0.000, 0.000, 0.187)
Cr (0.000, 0.000, 0.813)
Cr (0.500, 0.500, 0.313)
Cr (0.500, 0.500, 0.687)
Pd (0.000, 0.000, 0.428)
Pd (0.000, 0.000, 0.572)
Pd (0.500, 0.500, 0.072)
Pd (0.500, 0.500, 0.928)
N (0.000, 0.000, 0.304)
N (0.000, 0.000, 0.696)
N (0.500, 0.500, 0.196)
N (0.500, 0.500, 0.804)

Principal peaks in the range 15 to 90 degrees two-theta, in order of rising 2θ:
two_theta  I/Imax
32.02  100
35.10  46
40.36  52
40.66  85
45.32  85
47.98  47
62.28  55
66.03  26
77.09  29
80.32  29

(9)
Diffraction record for Cd5Mo. The powder diffractogram is theoretical, not measured: it uses the GGA-PBE geometry in Alexandria and Cu Kα, 1.54184 Å.
Neutral-atom scattering factors, no anomalous dispersion.

Atomic structure:
a = 11.326 Å, b = 2.983 Å, c = 7.467 Å
α = 90.00°, β = 105.63°, γ = 90.00°
Fractional positions:
Cd (0.000, 0.000, 0.000)
Cd (0.055, 0.000, 0.626)
Cd (0.167, 0.500, 0.329)
Cd (0.321, 0.000, 0.689)
Cd (0.387, 0.000, 0.280)
Cd (0.500, 0.500, 0.000)
Cd (0.555, 0.500, 0.626)
Cd (0.667, 0.000, 0.329)
Cd (0.821, 0.500, 0.689)
Cd (0.887, 0.500, 0.280)
Mo (0.224, 0.500, 0.962)
Mo (0.724, 0.000, 0.962)

Principal peaks in the range 15 to 90 degrees two-theta, in order of rising 2θ:
two_theta  I/Imax
33.34  22
34.38  53
35.56  84
37.53  58
38.33  57
38.66  100
39.06  97
60.26  35
71.18  19
72.74  20

(10)
Diffraction record for Cs3Sb5Se9. The powder diffractogram is theoretical, not measured: it uses the GGA-PBE geometry in Alexandria and Cu Kα, 1.54184 Å.
Neutral-atom scattering factors, no anomalous dispersion.

Atomic structure:
a = 14.144 Å, b = 14.144 Å, c = 9.812 Å
α = 95.60°, β = 95.60°, γ = 139.78°
Fractional positions:
Cs (0.056, 0.489, 0.740)
Cs (0.082, 0.918, 0.000)
Cs (0.489, 0.056, 0.740)
Cs (0.511, 0.944, 0.260)
Cs (0.918, 0.082, 0.000)
Cs (0.944, 0.511, 0.260)
Sb (0.075, 0.925, 0.500)
Sb (0.219, 0.463, 0.340)
Sb (0.378, 0.378, 0.622)
Sb (0.425, 0.575, 0.000)
Sb (0.463, 0.219, 0.340)
Sb (0.537, 0.781, 0.660)
Sb (0.575, 0.425, 0.000)
Sb (0.622, 0.622, 0.378)
Sb (0.781, 0.537, 0.660)
Sb (0.925, 0.075, 0.500)
Se (0.062, 0.750, 0.656)
Se (0.134, 0.134, 0.376)
Se (0.185, 0.501, 0.097)
Se (0.193, 0.345, 0.731)
Se (0.250, 0.938, 0.344)
Se (0.307, 0.693, 0.500)
Se (0.345, 0.193, 0.731)
Se (0.372, 0.372, 0.127)
Se (0.499, 0.815, 0.903)
Se (0.501, 0.185, 0.097)
Se (0.628, 0.628, 0.873)
Se (0.655, 0.807, 0.269)
Se (0.693, 0.307, 0.500)
Se (0.750, 0.062, 0.656)
Se (0.807, 0.655, 0.269)
Se (0.815, 0.499, 0.903)
Se (0.866, 0.866, 0.624)
Se (0.938, 0.250, 0.344)

Principal peaks in the range 15 to 90 degrees two-theta, in order of rising 2θ:
two_theta  I/Imax
20.19  21
26.10  46
28.03  43
28.93  39
30.49  100
30.59  56
43.57  29
43.90  32
46.40  29
47.37  21

(11)
Diffraction record for CuPd3Se4. The powder diffractogram is theoretical, not measured: it uses the GGA-PBE geometry in Alexandria and Cu Kα, 1.54184 Å.
Neutral-atom scattering factors, no anomalous dispersion.

Atomic structure:
a = 7.417 Å, b = 6.756 Å, c = 6.584 Å
α = 90.00°, β = 90.00°, γ = 90.00°
Fractional positions:
Cu (0.000, 0.102, 0.000)
Cu (0.500, 0.898, 0.500)
Pd (0.000, 0.830, 0.633)
Pd (0.198, 0.705, 0.998)
Pd (0.302, 0.295, 0.498)
Pd (0.500, 0.170, 0.133)
Pd (0.698, 0.295, 0.498)
Pd (0.802, 0.705, 0.998)
Se (0.000, 0.203, 0.655)
Se (0.000, 0.854, 0.253)
Se (0.210, 0.358, 0.147)
Se (0.290, 0.642, 0.647)
Se (0.500, 0.146, 0.753)
Se (0.500, 0.797, 0.155)
Se (0.710, 0.642, 0.647)
Se (0.790, 0.358, 0.147)

Principal peaks in the range 15 to 90 degrees two-theta, in order of rising 2θ:
two_theta  I/Imax
26.38  65
27.09  64
27.43  100
29.72  37
30.67  72
38.92  62
47.22  60
47.63  33
47.95  38
50.15  35

(12)
Diffraction record for Mg14TiMn. The powder diffractogram is theoretical, not measured: it uses the GGA-PBE geometry in Alexandria and Cu Kα, 1.54184 Å.
Neutral-atom scattering factors, no anomalous dispersion.

Atomic structure:
a = 6.312 Å, b = 6.312 Å, c = 10.034 Å
α = 90.00°, β = 90.00°, γ = 120.00°
Fractional positions:
Mg (0.000, 0.000, 0.246)
Mg (0.000, 0.000, 0.754)
Mg (0.012, 0.506, 0.252)
Mg (0.012, 0.506, 0.748)
Mg (0.333, 0.166, 0.500)
Mg (0.339, 0.170, 0.000)
Mg (0.494, 0.506, 0.252)
Mg (0.494, 0.506, 0.748)
Mg (0.494, 0.988, 0.252)
Mg (0.494, 0.988, 0.748)
Mg (0.830, 0.170, 0.000)
Mg (0.830, 0.661, 0.000)
Mg (0.834, 0.166, 0.500)
Mg (0.834, 0.667, 0.500)
Ti (0.333, 0.667, 0.000)
Mn (0.333, 0.667, 0.500)

Principal peaks in the range 15 to 90 degrees two-theta, in order of rising 2θ:
two_theta  I/Imax
16.21  9
24.08  4
32.76  25
35.80  25
37.47  100
49.31  15
58.49  17
65.43  18
70.50  18
71.56  13

> Number 10 is which compound?

Cs3Sb5Se9

> Number 12 is which compound?

Mg14TiMn

Copy entry 3 word for word.
Diffraction record for Sr3Pt2. The powder diffractogram is theoretical, not measured: it uses the GGA-PBE geometry in Alexandria and Cu Kα, 1.54184 Å.
Neutral-atom scattering factors, no anomalous dispersion.

Atomic structure:
a = 7.997 Å, b = 7.997 Å, c = 7.997 Å
α = 56.73°, β = 56.73°, γ = 56.73°
Fractional positions:
Sr (0.103, 0.750, 0.397)
Sr (0.250, 0.603, 0.897)
Sr (0.397, 0.103, 0.750)
Sr (0.603, 0.897, 0.250)
Sr (0.750, 0.397, 0.103)
Sr (0.897, 0.250, 0.603)
Pt (0.178, 0.178, 0.178)
Pt (0.322, 0.322, 0.322)
Pt (0.678, 0.678, 0.678)
Pt (0.822, 0.822, 0.822)

Principal peaks in the range 15 to 90 degrees two-theta, in order of rising 2θ:
two_theta  I/Imax
16.11  73
23.41  40
26.99  47
28.55  30
35.78  100
37.25  23
38.42  23
41.15  60
55.65  27
71.51  26